Entry 1:
# La2CdRuC
Simulated X-ray diffraction stick pattern, Cu Kα, 1.54184 Å. Input: a crystal structure in Alexandria, relaxed with PBE.

The 10 most intense peaks (15° ≤ 2θ ≤ 90°), by angle:
d = 2.748 Å, rel. 100
d = 2.702 Å, rel. 52
d = 1.977 Å, rel. 10
d = 1.911 Å, rel. 19
d = 1.596 Å, rel. 21
d = 1.569 Å, rel. 36
d = 1.374 Å, rel. 12
d = 1.246 Å, rel. 8
d = 1.212 Å, rel. 8
d = 1.208 Å, rel. 8

Cell and atoms:
```
La2CdRuC
1.0
5.404 0.000 0.000
0.000 5.404 0.000
0.000 0.000 3.954
La Cd Ru C
2 1 1 1
Direct
0.000 0.500 0.000
0.500 0.000 0.000
0.000 0.000 0.500
0.500 0.500 0.500
0.500 0.500 0.000
```

Entry 2:
# MgCd3C4O12
Simulated X-ray diffraction stick pattern, Cu Kα, 1.54184 Å. Input: a crystal structure in Alexandria, relaxed with PBE.

The 10 most intense peaks (15° ≤ 2θ ≤ 90°), by angle:
d = 3.778 Å, rel. 60
d = 3.568 Å, rel. 11
d = 2.945 Å, rel. 100
d = 2.463 Å, rel. 31
d = 2.063 Å, rel. 25
d = 1.889 Å, rel. 14
d = 1.837 Å, rel. 20
d = 1.824 Å, rel. 33
d = 1.582 Å, rel. 19
d = 1.499 Å, rel. 14

Cell and atoms:
```
MgCd3C4O12
1.0
2.463 1.422 10.855
-2.463 1.422 10.855
0.000 -2.844 10.855
Mg Cd C O
1 3 4 12
Direct
0.000 0.000 0.000
0.254 0.254 0.254
0.500 0.500 0.500
0.746 0.746 0.746
0.123 0.123 0.123
0.371 0.371 0.371
0.629 0.629 0.629
0.877 0.877 0.877
0.120 0.389 0.862
0.125 0.650 0.338
0.138 0.880 0.611
0.338 0.125 0.650
0.350 0.662 0.875
0.389 0.862 0.120
0.611 0.138 0.880
0.650 0.338 0.125
0.662 0.875 0.350
0.862 0.120 0.389
0.875 0.350 0.662
0.880 0.611 0.138
```

Entry 3:
# CdC2N2
Simulated X-ray diffraction stick pattern, Cu Kα, 1.54184 Å. Input: a crystal structure in Alexandria, relaxed with PBE.

The 10 most intense peaks (15° ≤ 2θ ≤ 90°), by angle:
d = 4.567 Å, rel. 100
d = 3.729 Å, rel. 6
d = 3.230 Å, rel. 8
d = 2.637 Å, rel. 41
d = 2.284 Å, rel. 23
d = 2.043 Å, rel. 17
d = 1.726 Å, rel. 28
d = 1.522 Å, rel. 14
d = 1.444 Å, rel. 6
d = 1.267 Å, rel. 13

Cell and atoms:
```
CdC2N2
1.0
6.459 0.000 0.000
0.000 6.459 0.000
0.000 0.000 6.459
Cd C N
2 4 4
Direct
0.000 0.000 0.000
0.500 0.500 0.500
0.200 0.200 0.200
0.200 0.800 0.800
0.800 0.200 0.800
0.800 0.800 0.200
0.304 0.304 0.304
0.304 0.696 0.696
0.696 0.304 0.696
0.696 0.696 0.304
```

Entry 4:
# CdC2N2
Simulated X-ray diffraction stick pattern, Cu Kα, 1.54184 Å. Input: a crystal structure in Alexandria, relaxed with PBE.

The 10 most intense peaks (15° ≤ 2θ ≤ 90°), by angle:
d = 4.614 Å, rel. 53
d = 4.540 Å, rel. 100
d = 3.727 Å, rel. 9
d = 2.649 Å, rel. 43
d = 2.607 Å, rel. 20
d = 2.307 Å, rel. 12
d = 2.270 Å, rel. 23
d = 1.740 Å, rel. 14
d = 1.728 Å, rel. 14
d = 1.708 Å, rel. 13

Cell and atoms:
```
CdC2N2
1.0
6.525 0.000 0.000
0.000 6.525 0.000
0.000 0.000 6.320
Cd C N
2 4 4
Direct
0.000 0.000 0.000
0.500 0.500 0.500
0.205 0.205 0.178
0.295 0.705 0.678
0.705 0.295 0.678
0.795 0.795 0.178
0.189 0.811 0.778
0.311 0.311 0.278
0.689 0.689 0.278
0.811 0.189 0.778
```

Entry 5:
# CdPdC6N6
Simulated X-ray diffraction stick pattern, Cu Kα, 1.54184 Å. Input: a crystal structure in Alexandria, relaxed with PBE.

The 10 most intense peaks (15° ≤ 2θ ≤ 90°), by angle:
d = 5.530 Å, rel. 100
d = 3.910 Å, rel. 37
d = 2.765 Å, rel. 23
d = 2.473 Å, rel. 36
d = 2.258 Å, rel. 12
d = 1.955 Å, rel. 12
d = 1.843 Å, rel. 17
d = 1.749 Å, rel. 12
d = 1.534 Å, rel. 10
d = 1.478 Å, rel. 11

Cell and atoms:
```
CdPdC6N6
1.0
0.000 5.530 5.530
5.530 0.000 5.530
5.530 5.530 0.000
Cd Pd C N
1 1 6 6
Direct
0.000 0.000 0.000
0.500 0.500 0.500
0.318 0.318 0.682
0.318 0.682 0.318
0.318 0.682 0.682
0.682 0.318 0.318
0.682 0.318 0.682
0.682 0.682 0.318
0.212 0.212 0.788
0.212 0.788 0.212
0.212 0.788 0.788
0.788 0.212 0.212
0.788 0.212 0.788
0.788 0.788 0.212
```

Entry 6:
# RbCdC3S3N3
Simulated X-ray diffraction stick pattern, Cu Kα, 1.54184 Å. Input: a crystal structure in Alexandria, relaxed with PBE.

The 10 most intense peaks (15° ≤ 2θ ≤ 90°), by angle:
d = 5.361 Å, rel. 100
d = 4.717 Å, rel. 87
d = 4.227 Å, rel. 20
d = 3.734 Å, rel. 32
d = 3.446 Å, rel. 19
d = 3.233 Å, rel. 21
d = 3.151 Å, rel. 33
d = 3.108 Å, rel. 86
d = 2.492 Å, rel. 29
d = 2.435 Å, rel. 25

Cell and atoms:
```
RbCdC3S3N3
1.0
5.826 0.000 0.000
0.000 13.790 0.000
-5.157 0.000 12.933
Rb Cd C S N
4 4 12 12 12
Direct
0.108 0.210 0.214
0.108 0.290 0.714
0.892 0.710 0.286
0.892 0.790 0.786
0.000 0.000 0.000
0.000 0.500 0.500
0.500 0.000 0.500
0.500 0.500 0.000
0.065 0.597 0.087
0.065 0.903 0.587
0.343 0.556 0.744
0.343 0.944 0.244
0.486 0.627 0.491
0.486 0.873 0.991
0.514 0.127 0.009
0.514 0.373 0.509
0.657 0.056 0.756
0.657 0.444 0.256
0.935 0.097 0.413
0.935 0.403 0.913
0.231 0.168 0.969
0.231 0.332 0.469
0.306 0.650 0.077
0.306 0.850 0.577
0.467 0.630 0.841
0.467 0.870 0.341
0.533 0.130 0.659
0.533 0.370 0.159
0.694 0.150 0.423
0.694 0.350 0.923
0.769 0.668 0.531
0.769 0.832 0.031
0.113 0.062 0.404
0.113 0.438 0.904
0.253 0.501 0.674
0.253 0.999 0.174
0.278 0.600 0.461
0.278 0.900 0.961
0.722 0.100 0.039
0.722 0.400 0.539
0.747 0.001 0.826
0.747 0.499 0.326
0.887 0.562 0.096
0.887 0.938 0.596
```

Entry 7:
# Cd2RuC6N6
Simulated X-ray diffraction stick pattern, Cu Kα, 1.54184 Å. Input: a crystal structure in Alexandria, relaxed with PBE.

The 10 most intense peaks (15° ≤ 2θ ≤ 90°), by angle:
d = 4.278 Å, rel. 100
d = 3.222 Å, rel. 33
d = 2.900 Å, rel. 17
d = 2.574 Å, rel. 19
d = 2.316 Å, rel. 50
d = 2.011 Å, rel. 21
d = 1.860 Å, rel. 15
d = 1.529 Å, rel. 10
d = 1.508 Å, rel. 10
d = 1.450 Å, rel. 10

Cell and atoms:
```
Cd2RuC6N6
1.0
6.444 0.000 0.000
-3.222 5.580 0.000
0.000 0.000 6.661
Cd Ru C N
2 1 6 6
Direct
0.333 0.667 0.000
0.667 0.333 0.000
0.000 0.000 0.500
0.000 0.246 0.685
0.000 0.754 0.315
0.246 0.000 0.685
0.246 0.246 0.315
0.754 0.000 0.315
0.754 0.754 0.685
0.000 0.381 0.806
0.000 0.619 0.194
0.381 0.000 0.806
0.381 0.381 0.194
0.619 0.000 0.194
0.619 0.619 0.806
```

Entry 8:
# ZnCdC4S4N4
Simulated X-ray diffraction stick pattern, Cu Kα, 1.54184 Å. Input: a crystal structure in Alexandria, relaxed with PBE.

The 10 most intense peaks (15° ≤ 2θ ≤ 90°), by angle:
d = 5.556 Å, rel. 82
d = 4.864 Å, rel. 57
d = 3.660 Å, rel. 100
d = 3.056 Å, rel. 36
d = 2.678 Å, rel. 32
d = 2.485 Å, rel. 20
d = 2.412 Å, rel. 16
d = 2.143 Å, rel. 48
d = 2.056 Å, rel. 29
d = 1.696 Å, rel. 20

Cell and atoms:
```
ZnCdC4S4N4
1.0
-5.556 5.556 2.705
5.556 -5.556 2.705
5.556 5.556 -2.705
Zn Cd C S N
1 1 4 4 4
Direct
0.000 0.000 0.000
0.250 0.750 0.500
0.280 0.561 0.161
0.400 0.119 0.839
0.439 0.600 0.719
0.881 0.720 0.281
0.143 0.382 0.573
0.430 0.857 0.240
0.618 0.190 0.760
0.810 0.570 0.427
0.173 0.350 0.099
0.251 0.074 0.901
0.650 0.749 0.823
0.926 0.827 0.177
```